[1]
Structure and simulated XRD peak list of Cu2NiRh (the GGA-PBE geometry in Alexandria; Cu Kα (weighted mean of Kα1 and Kα2)).
Lines closer than 0.1° are merged.

Main lines, by angle (5 to 70 degrees two-theta):
2θ = 20.3°, I = 4.3, (0 0 1)
2θ = 21.1°, I = 5.4, (2 0 0)
2θ = 26.4°, I = 2.7, (2 0 -1)
2θ = 32.2°, I = 2.0, (2 0 1)
2θ = 35.6°, I = 2.5, (1 1 0)
2θ = 40.2°, I = 2.8, (1 1 -1)
2θ = 41.2°, I = 2.5, (0 0 2)
2θ = 42.3°, I = 100.0, (1 1 1)
2θ = 42.7°, I = 47.9, (2 0 -2)
2θ = 43.1°, I = 47.8, (4 0 0)
2θ = 49.2°, I = 63.8, (3 1 -1)
2θ = 50.5°, I = 28.4, (2 0 2)

Atomic structure:
Unit cell a=8.5608 b=2.6462 c=4.4681 alpha=90.00 beta=101.07 gamma=90.00
Space group Cm (No. 8)
Inequivalent atoms, fractional coordinates:
Cu1 0.0000 0.0000 0.0000 [2 per cell]
Cu2 0.2497 0.0000 0.7764 [2 per cell]
Ni1 0.2478 0.5000 0.2711 [2 per cell]
Rh1 0.4954 0.0000 0.4938 [2 per cell]

---

[2]
Structure and simulated XRD peak list of Tb3Y3Er2 (the GGA-PBE geometry in Alexandria; Cu Kα (weighted mean of Kα1 and Kα2)).
Lines closer than 0.1° are merged.

Main lines, by angle (5 to 70 degrees two-theta):
2θ = 8.8°, I = 2.7, (0 0 2)
2θ = 18.2°, I = 3.9, (0 1 1)
2θ = 22.1°, I = 2.6, (1 0 3)
2θ = 28.4°, I = 1.3, (1 0 5)
2θ = 30.8°, I = 100.0, (1 1 4)
2θ = 35.8°, I = 50.4, (2 0 0)
2θ = 36.9°, I = 1.0, (1 1 6)
2θ = 40.4°, I = 1.1, (2 1 1)
2θ = 42.4°, I = 1.0, (1 2 3)
2θ = 51.5°, I = 35.6, (2 2 0)
2θ = 61.2°, I = 42.1, (3 1 4)
2θ = 64.2°, I = 12.1, (2 2 8)

Atomic structure:
Unit cell a=5.0219 b=5.0236 c=20.0959 alpha=90.00 beta=90.00 gamma=90.00
Space group Immm (No. 71)
Inequivalent atoms, fractional coordinates:
Tb1 0.0000 0.0000 0.0000 [2 per cell]
Tb2 0.0000 0.5000 0.3739 [4 per cell]
Y1 0.0000 0.0000 0.5000 [2 per cell]
Y2 0.0000 0.5000 0.1261 [4 per cell]
Er1 0.0000 0.0000 0.2499 [4 per cell]

---

[3]
Structure and simulated XRD peak list of NbFeNiRh (the GGA-PBE geometry in Alexandria; Cu Kα (weighted mean of Kα1 and Kα2)).
Lines closer than 0.1° are merged.

Main lines, by angle (5 to 70 degrees two-theta):
2θ = 23.6°, I = 6.3, (0 1 0)
2θ = 33.4°, I = 5.0, (1 0 1)
2θ = 41.4°, I = 100.0, (1 1 1)
2θ = 47.7°, I = 16.3, (0 0 2)
2θ = 48.4°, I = 31.3, (2 0 0)
2θ = 53.9°, I = 1.4, (0 1 2)
2θ = 54.5°, I = 1.3, (2 1 0)
2θ = 60.1°, I = 2.0, (1 2 1)

Atomic structure:
Unit cell a=3.7624 b=3.7654 c=3.8158 alpha=90.00 beta=90.00 gamma=90.00
Space group Pmmm (No. 47)
Inequivalent atoms, fractional coordinates:
Nb1 0.0000 0.0000 0.0000 [1 per cell]
Fe1 0.5000 0.5000 0.0000 [1 per cell]
Ni1 0.0000 0.5000 0.5000 [1 per cell]
Rh1 0.5000 0.0000 0.5000 [1 per cell]

---

[4]
Structure and simulated XRD peak list of OsSe (the GGA-PBE geometry in Alexandria; Cu Kα (weighted mean of Kα1 and Kα2)).
Lines closer than 0.1° are merged.

Main lines, by angle (5 to 70 degrees two-theta):
2θ = 13.2°, I = 100.0, (1 1 0)
2θ = 29.8°, I = 9.3, (3 1 0)
2θ = 32.1°, I = 29.6, (1 2 1)
2θ = 34.1°, I = 5.5, (3 2 0)
2θ = 37.4°, I = 10.9, (3 0 1)
2θ = 37.9°, I = 7.9, (4 0 0)
2θ = 42.2°, I = 69.3, (2 3 1)
2θ = 46.5°, I = 10.6, (1 4 1)
2θ = 49.0°, I = 18.1, (5 1 0)
2θ = 49.3°, I = 11.5, (0 0 2)
2θ = 51.3°, I = 6.8, (1 1 2)
2θ = 54.4°, I = 7.9, (3 4 1)

Atomic structure:
Unit cell a=9.4857 b=9.4857 c=3.6938 alpha=90.00 beta=90.00 gamma=90.00
Space group P4/m (No. 83)
Inequivalent atoms, fractional coordinates:
Os1 0.0786 0.6213 0.0000 [4 per cell]
Os2 0.1123 0.4166 0.5000 [4 per cell]
Se1 0.1588 0.7916 0.5000 [4 per cell]
Se2 0.2818 0.4694 0.0000 [4 per cell]

---

[5]
Structure and simulated XRD peak list of Cs6RbNa12 (the GGA-PBE geometry in Alexandria; Cu Kα (weighted mean of Kα1 and Kα2)).
Lines closer than 0.1° are merged.

Main lines, by angle (5 to 70 degrees two-theta):
2θ = 9.8°, I = 22.0, (1 0 1)
2θ = 16.2°, I = 100.0, (3 -1 1)
2θ = 19.6°, I = 34.5, (2 0 2)
2θ = 20.8°, I = 32.7, (4 -3 1)
2θ = 21.7°, I = 51.5, (3 -2 2)
2θ = 24.3°, I = 83.1, (4 1 0)
2θ = 24.6°, I = 51.6, (3 2 1)
2θ = 25.3°, I = 53.5, (4 -1 2)
2θ = 26.5°, I = 27.1, (1 1 3)
2θ = 29.4°, I = 36.6, (2 4 1)
2θ = 35.0°, I = 35.2, (5 -4 3)
2θ = 38.5°, I = 22.6, (8 -5 1)

Atomic structure:
Unit cell a=19.3629 b=19.3629 c=10.7587 alpha=90.00 beta=90.00 gamma=120.00
Space group R-3 (No. 148, hexagonal axes)
Inequivalent atoms, fractional coordinates:
Cs1 0.0347 0.7939 0.3117 [18 per cell]
Rb1 0.0000 0.0000 0.5000 [3 per cell]
Na1 0.0019 0.5537 0.3503 [18 per cell]
Na2 0.0209 0.8674 0.8869 [18 per cell]

---

[6]
Structure and simulated XRD peak list of Tb2Nd5Tm (the GGA-PBE geometry in Alexandria; Cu Kα (weighted mean of Kα1 and Kα2)).
Lines closer than 0.1° are merged.

Main lines, by angle (5 to 70 degrees two-theta):
2θ = 28.0°, I = 23.6, (0 2 -2)
2θ = 30.7°, I = 24.8, (2 0 0)
2θ = 32.0°, I = 100.0, (1 0 4)
2θ = 42.0°, I = 15.8, (2 2 -2)
2θ = 49.5°, I = 13.1, (0 4 0)
2θ = 49.6°, I = 6.5, (0 2 -6)
2θ = 55.4°, I = 21.1, (3 0 4)
2θ = 59.3°, I = 3.8, (2 2 6)
2θ = 59.4°, I = 19.0, (2 4 0)
2θ = 60.2°, I = 10.8, (1 4 4)
2θ = 60.3°, I = 5.6, (1 4 -4)
2θ = 64.0°, I = 3.0, (4 0 0)

Atomic structure:
Unit cell a=5.8224 b=7.3577 c=12.7543 alpha=89.85 beta=89.91 gamma=89.94
Space group P1 (No. 1)
Inequivalent atoms, fractional coordinates:
Tb1 0.0000 0.0000 0.0000 [1 per cell]
Tb2 0.0003 0.4990 0.4975 [1 per cell]
Tb3 0.4981 0.4989 0.3352 [1 per cell]
Tb4 0.4989 0.4982 0.8325 [1 per cell]
Nd1 0.0002 0.5003 0.9999 [1 per cell]
Nd2 0.4992 0.9983 0.8334 [1 per cell]
Nd3 0.5004 0.2472 0.0846 [1 per cell]
Nd4 0.5004 0.7493 0.5805 [1 per cell]
Nd5 0.4999 0.7513 0.0852 [1 per cell]
Nd6 0.5009 0.2480 0.5807 [1 per cell]
Nd7 0.9982 0.2487 0.2522 [1 per cell]
Nd8 0.9984 0.2492 0.7477 [1 per cell]
Nd9 0.9993 0.7494 0.7479 [1 per cell]
Nd10 0.9987 0.7497 0.2525 [1 per cell]
Tm1 0.0008 0.9993 0.4976 [1 per cell]
Tm2 0.4986 0.9988 0.3353 [1 per cell]

---

[7]
Structure and simulated XRD peak list of Dy3SiIr2 (the GGA-PBE geometry in Alexandria; Cu Kα (weighted mean of Kα1 and Kα2)).
Lines closer than 0.1° are merged.

Main lines, by angle (5 to 70 degrees two-theta):
2θ = 21.5°, I = 27.8, (2 0 2)
2θ = 28.3°, I = 33.3, (1 1 2)
2θ = 31.4°, I = 63.5, (2 1 2)
2θ = 32.0°, I = 100.0, (0 1 3)
2θ = 32.2°, I = 53.0, (4 0 1)
2θ = 33.0°, I = 56.6, (1 1 3)
2θ = 33.6°, I = 55.5, (3 1 1)
2θ = 36.1°, I = 68.1, (3 1 2)
2θ = 41.9°, I = 58.2, (4 1 2)
2θ = 44.8°, I = 42.1, (3 0 5)
2θ = 46.1°, I = 57.2, (0 2 0)
2θ = 66.2°, I = 50.5, (3 2 5)

Atomic structure:
Unit cell a=11.4469 b=3.9358 c=11.9377 alpha=90.00 beta=90.00 gamma=90.00
Space group Pnma (No. 62)
Inequivalent atoms, fractional coordinates:
Dy1 0.0573 0.2500 0.1166 [4 per cell]
Dy2 0.1282 0.7500 0.5561 [4 per cell]
Dy3 0.1970 0.2500 0.8064 [4 per cell]
Si1 0.1241 0.2500 0.3608 [4 per cell]
Ir1 0.0206 0.7500 0.3141 [4 per cell]
Ir2 0.1939 0.7500 0.9790 [4 per cell]

---

[8]
Structure and simulated XRD peak list of Nb6AlW (the GGA-PBE geometry in Alexandria; Cu Kα (weighted mean of Kα1 and Kα2)).
Lines closer than 0.1° are merged.

Main lines, by angle (5 to 70 degrees two-theta):
2θ = 17.0°, I = 27.5, (1 0 1)
2θ = 29.6°, I = 7.6, (0 0 3)
2θ = 34.4°, I = 32.1, (2 0 2)
2θ = 38.6°, I = 100.0, (3 -1 1)
2θ = 42.4°, I = 71.1, (1 2 2)
2θ = 52.6°, I = 7.4, (4 -3 1)
2θ = 58.7°, I = 4.5, (2 2 3)
2θ = 61.5°, I = 1.5, (0 0 6)
2θ = 61.6°, I = 4.6, (0 4 2)
2θ = 64.4°, I = 20.8, (3 -2 5)
2θ = 67.1°, I = 18.0, (4 -3 4)
2θ = 67.1°, I = 18.1, (4 1 0)

Atomic structure:
Unit cell a=7.3766 b=7.3766 c=9.0508 alpha=90.00 beta=90.00 gamma=120.00
Space group R-3 (No. 148, hexagonal axes)
Inequivalent atoms, fractional coordinates:
Nb1 0.0027 0.7517 0.2512 [18 per cell]
Al1 0.0000 0.0000 0.0000 [3 per cell]
W1 0.0000 0.0000 0.5000 [3 per cell]

---

[9]
Structure and simulated XRD peak list of CsZnSbTeHO (the GGA-PBE geometry in Alexandria; Cu Kα (weighted mean of Kα1 and Kα2)).
Lines closer than 0.1° are merged.

Main lines, by angle (5 to 70 degrees two-theta):
2θ = 12.6°, I = 34.7, (0 0 1)
2θ = 24.3°, I = 100.0, (0 1 1)
2θ = 25.9°, I = 75.9, (0 1 -2)
2θ = 26.7°, I = 63.1, (1 0 1)
2θ = 26.9°, I = 39.9, (1 1 -1)
2θ = 28.0°, I = 50.7, (1 -1 1)
2θ = 28.2°, I = 52.0, (-1 1 1)
2θ = 28.7°, I = 66.7, (1 0 -2)
2θ = 30.8°, I = 28.7, (1 1 -2)
2θ = 33.0°, I = 68.9, (0 2 -1)
2θ = 39.0°, I = 37.5, (1 0 -3)
2θ = 46.4°, I = 35.2, (2 1 -2)

Atomic structure:
Unit cell a=4.4536 b=5.4485 c=7.5547 alpha=106.48 beta=102.20 gamma=93.83
Space group P1 (No. 1)
Inequivalent atoms, fractional coordinates:
Cs1 0.0000 0.0000 0.0000 [1 per cell]
Zn1 0.8045 0.3055 0.4957 [1 per cell]
Sb1 0.4369 0.7604 0.4114 [1 per cell]
Te1 0.3739 0.3783 0.7034 [1 per cell]
H1 0.8066 0.6324 0.4683 [1 per cell]
O1 0.6199 0.9962 0.2852 [1 per cell]

---

[10]
Structure and simulated XRD peak list of NbGeTe6 (the GGA-PBE geometry in Alexandria; Cu Kα (weighted mean of Kα1 and Kα2)).
Lines closer than 0.1° are merged.

Main lines, by angle (5 to 70 degrees two-theta):
2θ = 26.1°, I = 28.5, (2 0 -1)
2θ = 27.0°, I = 18.4, (1 1 -2)
2θ = 27.5°, I = 17.0, (0 0 2)
2θ = 27.7°, I = 20.2, (2 0 0)
2θ = 27.9°, I = 57.7, (1 3 -1)
2θ = 31.3°, I = 36.3, (2 0 -2)
2θ = 32.6°, I = 100.0, (1 3 1)
2θ = 35.0°, I = 21.0, (1 3 -2)
2θ = 45.6°, I = 16.3, (1 3 -3)
2θ = 45.9°, I = 19.3, (3 3 -1)
2θ = 47.1°, I = 22.4, (0 6 0)
2θ = 47.7°, I = 26.7, (3 3 -2)

Atomic structure:
Unit cell a=6.9024 b=11.5805 c=6.9600 alpha=90.00 beta=111.24 gamma=90.00
Space group C2/m (No. 12)
Inequivalent atoms, fractional coordinates:
Nb1 0.0000 0.0000 0.0000 [2 per cell]
Ge1 0.0000 0.5000 0.5000 [2 per cell]
Te1 0.1659 0.0000 0.6858 [4 per cell]
Te2 0.2212 0.3280 0.8064 [8 per cell]

---

[11]
Structure and simulated XRD peak list of Be2AlCd2Au5 (the GGA-PBE geometry in Alexandria; Cu Kα (weighted mean of Kα1 and Kα2)).
Lines closer than 0.1° are merged.

Main lines, by angle (5 to 70 degrees two-theta):
2θ = 26.8°, I = 40.5, (3 1 0)
2θ = 29.2°, I = 37.2, (0 0 1)
2θ = 30.7°, I = 44.7, (3 2 0)
2θ = 35.0°, I = 48.8, (2 1 1)
2θ = 35.2°, I = 85.7, (4 1 0)
2θ = 38.3°, I = 34.6, (4 2 0)
2θ = 40.1°, I = 100.0, (3 1 1)
2θ = 42.9°, I = 41.7, (3 2 1)
2θ = 46.4°, I = 19.5, (4 1 1)
2θ = 48.9°, I = 15.6, (4 2 1)
2θ = 62.4°, I = 27.3, (5 5 0)
2θ = 63.7°, I = 30.0, (6 2 1)

Atomic structure:
Unit cell a=10.5159 b=10.5159 c=3.0537 alpha=90.00 beta=90.00 gamma=90.00
Space group P4/mbm (No. 127)
Inequivalent atoms, fractional coordinates:
Be1 0.1287 0.3713 0.0000 [4 per cell]
Al1 0.0000 0.0000 0.0000 [2 per cell]
Cd1 0.1685 0.6685 0.0000 [4 per cell]
Au1 0.0000 0.5000 0.5000 [2 per cell]
Au2 0.0841 0.1977 0.5000 [8 per cell]

---

[12]
Structure and simulated XRD peak list of CeNpOs (the GGA-PBE geometry in Alexandria; Cu Kα (weighted mean of Kα1 and Kα2)).
Lines closer than 0.1° are merged.

Main lines, by angle (5 to 70 degrees two-theta):
2θ = 17.5°, I = 7.2, (0 0 2)
2θ = 27.1°, I = 2.5, (1 0 1)
2θ = 36.5°, I = 53.6, (1 1 0)
2θ = 37.1°, I = 100.0, (1 0 3)
2θ = 40.7°, I = 3.8, (1 1 2)
2θ = 52.2°, I = 4.1, (1 0 5)
2θ = 52.6°, I = 19.1, (2 0 0)
2θ = 54.3°, I = 7.8, (0 0 6)
2θ = 55.8°, I = 1.6, (2 0 2)
2θ = 60.1°, I = 0.7, (2 1 1)
2θ = 66.1°, I = 37.8, (2 1 3)
2θ = 67.2°, I = 16.5, (1 1 6)

Atomic structure:
Unit cell a=3.4817 b=3.4817 c=10.1392 alpha=90.00 beta=90.00 gamma=90.00
Space group I4mm (No. 107)
Inequivalent atoms, fractional coordinates:
Ce1 0.0000 0.0000 0.0000 [2 per cell]
Np1 0.0000 0.0000 0.6744 [2 per cell]
Os1 0.0000 0.0000 0.3209 [2 per cell]

---

[13]
Structure and simulated XRD peak list of Th8Tl2Tc3 (the GGA-PBE geometry in Alexandria; Cu Kα (weighted mean of Kα1 and Kα2)).
Lines closer than 0.1° are merged.

Main lines, by angle (5 to 70 degrees two-theta):
2θ = 28.6°, I = 40.0, (2 0 2)
2θ = 28.9°, I = 71.2, (1 1 -2)
2θ = 29.9°, I = 77.3, (2 0 -3)
2θ = 30.4°, I = 100.0, (2 1 0)
2θ = 30.9°, I = 84.5, (1 1 2)
2θ = 32.5°, I = 42.8, (3 0 -2)
2θ = 33.2°, I = 34.9, (2 1 -2)
2θ = 34.0°, I = 82.0, (0 0 4)
2θ = 38.1°, I = 34.2, (3 1 -1)
2θ = 38.3°, I = 44.3, (3 1 0)
2θ = 45.6°, I = 50.9, (0 2 0)
2θ = 59.7°, I = 31.9, (5 1 1)

Atomic structure:
Unit cell a=8.8743 b=3.9788 c=10.6837 alpha=90.00 beta=99.59 gamma=90.00
Space group P2/m (No. 10)
Inequivalent atoms, fractional coordinates:
Th1 0.0184 0.0000 0.3330 [2 per cell]
Th2 0.2013 0.5000 0.1114 [2 per cell]
Th3 0.2753 0.5000 0.5643 [2 per cell]
Th4 0.3550 0.0000 0.8692 [2 per cell]
Tl1 0.4117 0.0000 0.3480 [2 per cell]
Tc1 0.0000 0.0000 0.0000 [1 per cell]
Tc2 0.1361 0.5000 0.8180 [2 per cell]